For Na5B2P3O13, a structure optimized by DFT (PBE) gives the computed X-ray powder pattern in this record (Cu Ka).

Main lines, in order of rising 2θ (5 to 70 degrees two-theta):
d = 5.869 Å, intensity 37, (0 2 0)
d = 4.513 Å, intensity 16, (0 2 1)
d = 4.250 Å, intensity 36, (1 2 0)
d = 4.229 Å, intensity 34, (1 2 -1)
d = 3.403 Å, intensity 38, (2 0 -1)
d = 3.025 Å, intensity 100, (0 2 2)
d = 2.944 Å, intensity 16, (2 2 -1)
d = 2.934 Å, intensity 23, (0 4 0)
d = 2.728 Å, intensity 36, (2 2 0)
d = 2.706 Å, intensity 38, (2 2 -2)

Cell lengths 6.806, 11.737, 7.796 Å; angles 90.00, 115.12, 90.00 degrees
Space group P2_1 (No. 4)
Inequivalent atoms, fractional coordinates:
1 Na 0.022 0.000 0.476 [2 per cell]
2 Na 0.124 0.230 0.277 [2 per cell]
3 Na 0.144 0.722 0.271 [2 per cell]
4 Na 0.399 0.594 0.964 [2 per cell]
5 Na 0.449 0.498 0.481 [2 per cell]
6 B 0.293 0.317 0.999 [2 per cell]
7 B 0.364 0.865 0.006 [2 per cell]
8 P 0.002 0.480 0.006 [2 per cell]
9 P 0.341 0.767 0.682 [2 per cell]
10 P 0.345 0.253 0.691 [2 per cell]
11 O 0.009 0.551 0.845 [2 per cell]
12 O 0.083 0.353 0.995 [2 per cell]
13 O 0.132 0.529 0.202 [2 per cell]
14 O 0.235 0.234 0.835 [2 per cell]
15 O 0.235 0.801 0.824 [2 per cell]
16 O 0.244 0.961 0.032 [2 per cell]
17 O 0.245 0.354 0.560 [2 per cell]
18 O 0.252 0.651 0.598 [2 per cell]
19 O 0.307 0.860 0.538 [2 per cell]
20 O 0.335 0.141 0.590 [2 per cell]
21 O 0.407 0.777 0.164 [2 per cell]
22 O 0.408 0.248 0.179 [2 per cell]
23 O 0.434 0.405 0.990 [2 per cell]